PmZrCrO6: theoretical X-ray powder pattern (Cu Kα (weighted mean of Kα1 and Kα2)), based on a crystal structure in Alexandria, relaxed with GGA+U.
Peak positions follow from Bragg's law for the DFT cell and can differ from measured ones.

Principal peaks in the range 5° ≤ 2θ ≤ 70°, by intensity:
| 2θ/deg | d [Å] | Rel. int. | hkl |
| --- | --- | --- | --- |
| 25.66 | 3.472 | 100 | 1 1 0 |
| 32.82 | 2.729 | 80 | 1 0 3 |
| 49.97 | 1.825 | 69 | 2 1 3 |
| 63.50 | 1.465 | 23 | 3 0 3 |
| 36.61 | 2.455 | 19 | 2 0 0 |
| 52.73 | 1.736 | 18 | 2 2 0 |
| 59.54 | 1.553 | 15 | 3 1 0 |
| 62.60 | 1.484 | 14 | 1 1 6 |
| 31.53 | 2.837 | 13 | 1 1 2 |
| 20.21 | 4.394 | 12 | 1 0 1 |

Cell and atoms:
```
data_PmZrCrO6
_chemical_formula_sum 'Pm2 Zr2 Cr2 O12'
_cell_length_a 4.9096
_cell_length_b 4.9096
_cell_length_c 9.8491
_cell_angle_alpha 90.00
_cell_angle_beta 90.00
_cell_angle_gamma 90.00
_space_group_name_H-M_alt 'P 42 n m'
_space_group_IT_number 102
_space_group_name_Hall 'P 4n -2n'
loop_
_atom_site_label
_atom_site_type_symbol
_atom_site_fract_x
_atom_site_fract_y
_atom_site_fract_z
_atom_site_occupancy
Pm1 Pm 0.0000 0.0000 0.0000 1
Zr1 Zr 0.0000 0.0000 0.6509 1
Cr1 Cr 0.0000 0.0000 0.3280 1
O1 O 0.1754 0.1754 0.4761 1
O2 O 0.2060 0.2060 0.1803 1
O3 O 0.2395 0.2395 0.8043 1
```